[1]
Starting from a structure optimized by DFT (GGA-PBE), the X-ray diffraction stick pattern of Li2ScP2HO8 was calculated for CuKα.
Kinematic intensities with the Lorentz-polarization factor, no thermal factor.

Structural model:
a = 4.9130 Å, b = 8.3012 Å, c = 7.7595 Å
α = 90.00°, β = 103.99°, γ = 90.00°
Space group P2_1 (No. 4)
Inequivalent atoms, fractional coordinates:
Li: 0.1350 0.0000 0.0927 (multiplicity 2)
Li: 0.3548 0.7313 0.4129 (multiplicity 2)
Sc: 0.2513 0.3671 0.2564 (multiplicity 2)
P: 0.1130 0.0169 0.4744 (multiplicity 2)
P: 0.3810 0.7101 0.0153 (multiplicity 2)
H: 0.2902 0.3462 0.7650 (multiplicity 2)
O: 0.0083 0.4268 0.7014 (multiplicity 2)
O: 0.1066 0.5424 0.4136 (multiplicity 2)
O: 0.1429 0.8203 0.9149 (multiplicity 2)
O: 0.2362 0.1817 0.4348 (multiplicity 2)
O: 0.2609 0.5500 0.0641 (multiplicity 2)
O: 0.3563 0.9117 0.5850 (multiplicity 2)
O: 0.3909 0.1893 0.0883 (multiplicity 2)
O: 0.4936 0.2991 0.7999 (multiplicity 2)

The 10 most intense peaks (2θ = 15–90°), in order of falling intensity:
3.643 Å, rel. 1000, (1 0 1)
3.130 Å, rel. 858, (1 1 -2)
3.994 Å, rel. 364, (1 1 -1)
2.789 Å, rel. 357, (0 2 2)
5.577 Å, rel. 267, (0 1 1)
1.822 Å, rel. 183, (1 2 3)
3.068 Å, rel. 129, (1 2 -1)
2.062 Å, rel. 117, (2 1 1)
2.141 Å, rel. 101, (1 3 -2)
2.349 Å, rel. 98, (2 1 -1)

[2]
Starting from a structure optimized by DFT (GGA-PBE), the X-ray diffraction stick pattern of LiSn2P4H3O16 was calculated for CuKα.
Kinematic intensities with the Lorentz-polarization factor, no thermal factor.

Structural model:
a = 4.9632 Å, b = 7.5720 Å, c = 8.1795 Å
α = 89.98°, β = 88.76°, γ = 76.03°
Space group P1 (No. 1)
Inequivalent atoms, fractional coordinates:
Li: 0.0000 0.0000 0.0000 (multiplicity 1)
Sn: 0.0787 0.8636 0.6126 (multiplicity 1)
Sn: 0.5666 0.3742 0.1191 (multiplicity 1)
P: 0.2091 0.0969 0.2647 (multiplicity 1)
P: 0.4560 0.1279 0.7763 (multiplicity 1)
P: 0.7009 0.6086 0.4590 (multiplicity 1)
P: 0.9397 0.6340 0.9670 (multiplicity 1)
H: 0.0202 0.3588 0.4848 (multiplicity 1)
H: 0.1160 0.3623 0.7099 (multiplicity 1)
H: 0.5811 0.8637 0.1103 (multiplicity 1)
O: 0.0326 0.6831 0.7948 (multiplicity 1)
O: 0.1297 0.0524 0.4412 (multiplicity 1)
O: 0.1839 0.5276 0.0667 (multiplicity 1)
O: 0.2327 0.0128 0.7959 (multiplicity 1)
O: 0.3186 0.3147 0.6952 (multiplicity 1)
O: 0.3353 0.9286 0.1607 (multiplicity 1)
O: 0.3983 0.2316 0.2893 (multiplicity 1)
O: 0.4631 0.6942 0.5773 (multiplicity 1)
O: 0.5660 0.1656 0.9443 (multiplicity 1)
O: 0.6095 0.5649 0.2901 (multiplicity 1)
O: 0.6928 0.0327 0.6620 (multiplicity 1)
O: 0.7346 0.5100 0.9434 (multiplicity 1)
O: 0.8041 0.8143 0.0569 (multiplicity 1)
O: 0.8510 0.4226 0.5449 (multiplicity 1)
O: 0.9109 0.7291 0.4397 (multiplicity 1)
O: 0.9487 0.1959 0.1668 (multiplicity 1)

The 10 most intense peaks (2θ = 15–90°), in order of falling intensity:
5.467 Å, rel. 1000, (0 1 -1)
3.644 Å, rel. 574, (1 -1 0)
3.076 Å, rel. 536, (1 2 -1)
3.100 Å, rel. 292, (1 2 1)
4.089 Å, rel. 238, (0 0 2)
2.740 Å, rel. 200, (0 2 -2)
2.726 Å, rel. 197, (0 2 2)
2.098 Å, rel. 195, (1 2 -3)
4.190 Å, rel. 195, (1 0 1)
4.110 Å, rel. 179, (1 0 -1)

[3]
Starting from a structure optimized by DFT (GGA-PBE), the X-ray diffraction stick pattern of Li4Sn2P4H3O16 was calculated for CuKα.
Kinematic intensities with the Lorentz-polarization factor, no thermal factor.

Structural model:
a = 4.9452 Å, b = 8.1459 Å, c = 8.9127 Å
α = 90.69°, β = 91.44°, γ = 100.75°
Space group P1 (No. 1)
Inequivalent atoms, fractional coordinates:
Li: 0.0000 0.0000 0.0000 (multiplicity 1)
Li: 0.2101 0.3126 0.7405 (multiplicity 1)
Li: 0.4731 0.4695 0.2199 (multiplicity 1)
Li: 0.7028 0.8427 0.5267 (multiplicity 1)
Sn: 0.0904 0.1528 0.3756 (multiplicity 1)
Sn: 0.5948 0.6642 0.8700 (multiplicity 1)
P: 0.2158 0.9329 0.7290 (multiplicity 1)
P: 0.4697 0.8808 0.2043 (multiplicity 1)
P: 0.7227 0.4323 0.5405 (multiplicity 1)
P: 0.9595 0.3884 0.0160 (multiplicity 1)
H: 0.0570 0.6501 0.5142 (multiplicity 1)
H: 0.1300 0.6728 0.2548 (multiplicity 1)
H: 0.6370 0.1803 0.8940 (multiplicity 1)
O: 0.0056 0.8308 0.8386 (multiplicity 1)
O: 0.0724 0.9556 0.5767 (multiplicity 1)
O: 0.1079 0.3549 0.1612 (multiplicity 1)
O: 0.1551 0.4750 0.8966 (multiplicity 1)
O: 0.2357 0.9740 0.1698 (multiplicity 1)
O: 0.3313 0.6910 0.2570 (multiplicity 1)
O: 0.3364 0.1019 0.8061 (multiplicity 1)
O: 0.4436 0.8248 0.6961 (multiplicity 1)
O: 0.5328 0.3601 0.4088 (multiplicity 1)
O: 0.5619 0.4642 0.6818 (multiplicity 1)
O: 0.6391 0.8530 0.0659 (multiplicity 1)
O: 0.6520 0.9537 0.3391 (multiplicity 1)
O: 0.7275 0.4895 0.0475 (multiplicity 1)
O: 0.8238 0.2061 0.9485 (multiplicity 1)
O: 0.8631 0.6195 0.4814 (multiplicity 1)
O: 0.9542 0.3368 0.5748 (multiplicity 1)

The 10 most intense peaks (2θ = 15–90°), in order of falling intensity:
3.190 Å, rel. 1000, (1 -2 1)
3.845 Å, rel. 885, (1 1 0)
5.903 Å, rel. 630, (0 1 1)
2.952 Å, rel. 416, (0 2 2)
3.002 Å, rel. 351, (0 2 -2)
2.211 Å, rel. 274, (-1 3 2)
1.933 Å, rel. 260, (1 3 2)
3.208 Å, rel. 260, (-1 1 2)
4.454 Å, rel. 256, (0 0 2)
4.545 Å, rel. 227, (1 -1 0)

[4]
Starting from a structure optimized by DFT (GGA-PBE), the X-ray diffraction stick pattern of LiSn2P4H3O16 was calculated for CuKα.
Kinematic intensities with the Lorentz-polarization factor, no thermal factor.

Structural model:
a = 4.9771 Å, b = 7.6330 Å, c = 8.1600 Å
α = 90.80°, β = 91.59°, γ = 102.63°
Space group P1 (No. 1)
Inequivalent atoms, fractional coordinates:
Li: 0.0000 0.0000 0.0000 (multiplicity 1)
Sn: 0.1279 0.1661 0.6531 (multiplicity 1)
Sn: 0.6212 0.6611 0.1559 (multiplicity 1)
P: 0.0092 0.4200 0.9836 (multiplicity 1)
P: 0.2462 0.9130 0.3210 (multiplicity 1)
P: 0.5024 0.8997 0.8093 (multiplicity 1)
P: 0.7437 0.4233 0.4971 (multiplicity 1)
H: 0.0799 0.6399 0.6395 (multiplicity 1)
H: 0.5681 0.1484 0.2982 (multiplicity 1)
H: 0.6873 0.2205 0.0923 (multiplicity 1)
O: 0.0063 0.8411 0.1968 (multiplicity 1)
O: 0.1067 0.3718 0.8174 (multiplicity 1)
O: 0.1495 0.9643 0.4860 (multiplicity 1)
O: 0.2404 0.5127 0.1008 (multiplicity 1)
O: 0.3117 0.0418 0.8393 (multiplicity 1)
O: 0.3536 0.7353 0.7185 (multiplicity 1)
O: 0.4023 0.0925 0.2330 (multiplicity 1)
O: 0.4471 0.7873 0.3389 (multiplicity 1)
O: 0.4850 0.3314 0.5858 (multiplicity 1)
O: 0.6040 0.8615 0.9888 (multiplicity 1)
O: 0.6706 0.4670 0.3178 (multiplicity 1)
O: 0.7682 0.0070 0.7319 (multiplicity 1)
O: 0.7805 0.5267 0.9722 (multiplicity 1)
O: 0.8804 0.2303 0.0653 (multiplicity 1)
O: 0.8826 0.5979 0.5888 (multiplicity 1)
O: 0.9283 0.2832 0.4761 (multiplicity 1)

The 10 most intense peaks (2θ = 15–90°), in order of falling intensity:
3.081 Å, rel. 1000, (-1 2 1)
3.712 Å, rel. 922, (1 1 0)
5.556 Å, rel. 901, (0 1 -1)
5.444 Å, rel. 885, (0 1 1)
4.114 Å, rel. 351, (1 0 1)
2.778 Å, rel. 317, (0 2 -2)
4.230 Å, rel. 306, (1 0 -1)
2.722 Å, rel. 299, (0 2 2)
3.011 Å, rel. 298, (1 -1 2)
4.078 Å, rel. 290, (0 0 2)